For Pr3Te2, a crystal structure in OQMD, relaxed with GGA-PBE gives the theoretical powder XRD pattern in this record (λ = 1.5418 Å (Cu Kα)).

Main lines, by intensity (2θ = 10–90°):
30.22 deg, rel. 100; 33.47 deg, rel. 58; 30.89 deg, rel. 52; 31.10 deg, rel. 49; 29.20 deg, rel. 47; 41.98 deg, rel. 47; 29.76 deg, rel. 38; 38.74 deg, rel. 35; 32.72 deg, rel. 33; 26.06 deg, rel. 30

Crystal structure
```
Pr3Te2
1.0
12.389 0.000 0.000
0.000 4.304 0.000
0.000 0.000 12.203
Pr Te
12 8
Direct
0.046 0.250 0.124 Pr
0.120 0.750 0.563 Pr
0.214 0.250 0.792 Pr
0.286 0.750 0.292 Pr
0.380 0.250 0.063 Pr
0.454 0.750 0.624 Pr
0.546 0.250 0.376 Pr
0.620 0.750 0.937 Pr
0.714 0.250 0.708 Pr
0.786 0.750 0.208 Pr
0.880 0.250 0.437 Pr
0.954 0.750 0.876 Pr
0.028 0.750 0.317 Te
0.193 0.750 0.995 Te
0.307 0.250 0.495 Te
0.472 0.250 0.817 Te
0.528 0.750 0.183 Te
0.693 0.750 0.505 Te
0.807 0.250 0.005 Te
0.972 0.250 0.683 Te
```